Record 1
Cs4SiTcS6: calculated XRD peak list (CuKα), based on a DFT-relaxed cell (PBE, OQMD).

Atomic structure:
```
data_Cs4SiTcS6
_chemical_formula_sum 'Cs4 Si1 Tc1 S6'
_cell_length_a 7.2395
_cell_length_b 7.7139
_cell_length_c 9.0838
_cell_angle_alpha 72.75
_cell_angle_beta 68.66
_cell_angle_gamma 65.19
_symmetry_space_group_name_H-M 'P 1'
_symmetry_Int_Tables_number 1
loop_
_symmetry_equiv_pos_as_xyz
'x,y,z'
loop_
_atom_site_label
_atom_site_fract_x
_atom_site_fract_y
_atom_site_fract_z
_atom_site_occupancy
Cs1 0.0000 0.0000 0.0000 1
Cs2 0.1698 0.3884 0.2900 1
Cs3 0.4125 0.7631 0.4623 1
Cs4 0.7424 0.6429 0.8399 1
Si1 0.4491 0.2590 0.8320 1
Tc1 0.7076 0.1454 0.4661 1
S1 0.2663 0.5459 0.8718 1
S2 0.3803 0.1786 0.6455 1
S3 0.4603 0.0450 0.0388 1
S4 0.6975 0.3658 0.2482 1
S5 0.7672 0.2337 0.6606 1
S6 0.8967 0.8445 0.4259 1
```

Main lines, sorted by position (2θ from 5° to 70°):
2θ 19.84, I = 25; 2θ 20.78, I = 21; 2θ 21.31, I = 19; 2θ 23.87, I = 36; 2θ 24.66, I = 100; 2θ 26.22, I = 46; 2θ 26.78, I = 50; 2θ 32.33, I = 15; 2θ 32.62, I = 17; 2θ 36.72, I = 20; 2θ 42.49, I = 18; 2θ 50.51, I = 12


Record 2
TeMoSeS2Br: calculated XRD peak list (CuKα), based on a DFT-relaxed cell (PBE, OQMD).

Atomic structure:
```
data_TeMoSeS2Br
_chemical_formula_sum 'Te2 Mo2 Se2 S4 Br2'
_cell_length_a 6.4570
_cell_length_b 8.0825
_cell_length_c 8.2148
_cell_angle_alpha 105.61
_cell_angle_beta 104.59
_cell_angle_gamma 113.34
_symmetry_space_group_name_H-M 'P 1'
_symmetry_Int_Tables_number 1
loop_
_symmetry_equiv_pos_as_xyz
'x,y,z'
loop_
_atom_site_label
_atom_site_fract_x
_atom_site_fract_y
_atom_site_fract_z
_atom_site_occupancy
Te1 0.2114 0.2568 0.2639 1
Te2 0.7886 0.7432 0.7361 1
Mo1 0.2785 0.0005 0.0008 1
Mo2 0.7215 0.9995 0.9992 1
Se1 0.3321 0.8549 0.7059 1
Se2 0.6679 0.1451 0.2941 1
S1 0.0052 0.8977 0.1756 1
S2 0.3252 0.7077 0.9098 1
S3 0.6748 0.2923 0.0902 1
S4 0.9948 0.1023 0.8244 1
Br1 0.4022 0.6408 0.2528 1
Br2 0.5978 0.3592 0.7472 1
```

Main lines, sorted by position (2θ from 5° to 70°):
2θ 12.24, I = 37; 2θ 13.11, I = 30; 2θ 13.73, I = 100; 2θ 24.02, I = 24; 2θ 24.62, I = 19; 2θ 27.99, I = 19; 2θ 32.46, I = 18; 2θ 33.60, I = 18; 2θ 34.41, I = 28; 2θ 38.64, I = 18; 2θ 40.25, I = 19; 2θ 41.61, I = 18


Record 3
In2CoSe3S: calculated XRD peak list (CuKα), based on a DFT-relaxed cell (PBE, OQMD).

Atomic structure:
```
data_In2CoSe3S
_chemical_formula_sum 'In2 Co1 Se3 S1'
_cell_length_a 5.6826
_cell_length_b 5.6970
_cell_length_c 7.0091
_cell_angle_alpha 66.28
_cell_angle_beta 66.34
_cell_angle_gamma 89.35
_symmetry_space_group_name_H-M 'P 1'
_symmetry_Int_Tables_number 1
loop_
_symmetry_equiv_pos_as_xyz
'x,y,z'
loop_
_atom_site_label
_atom_site_fract_x
_atom_site_fract_y
_atom_site_fract_z
_atom_site_occupancy
In1 0.0000 0.0000 0.0000 1
In2 0.2483 0.7547 0.5071 1
Co1 0.4909 0.5108 0.9971 1
Se1 0.1135 0.1699 0.2580 1
Se2 0.6255 0.5832 0.2562 1
Se3 0.8343 0.3790 0.7421 1
S1 0.3956 0.8673 0.7601 1
```

Main lines, sorted by position (2θ from 5° to 70°):
2θ 17.44, I = 17; 2θ 26.70, I = 39; 2θ 27.10, I = 100; 2θ 28.09, I = 17; 2θ 36.30, I = 10; 2θ 44.44, I = 34; 2θ 44.80, I = 16; 2θ 44.93, I = 32; 2θ 45.34, I = 14; 2θ 52.71, I = 10; 2θ 52.90, I = 9; 2θ 53.44, I = 11


Record 4
Dy2Ga4CuPd: calculated XRD peak list (CuKα), based on a DFT-relaxed cell (PBE, OQMD).

Atomic structure:
```
data_Dy2Ga4CuPd
_chemical_formula_sum 'Dy2 Ga4 Cu1 Pd1'
_cell_length_a 6.6000
_cell_length_b 5.5056
_cell_length_c 5.5056
_cell_angle_alpha 46.69
_cell_angle_beta 90.00
_cell_angle_gamma 90.00
_symmetry_space_group_name_H-M 'P 1'
_symmetry_Int_Tables_number 1
loop_
_symmetry_equiv_pos_as_xyz
'x,y,z'
loop_
_atom_site_label
_atom_site_fract_x
_atom_site_fract_y
_atom_site_fract_z
_atom_site_occupancy
Dy1 0.0000 0.0000 0.0000 1
Dy2 0.5000 0.1696 0.1696 1
Ga1 0.1942 0.7129 0.7129 1
Ga2 0.2992 0.4559 0.4559 1
Ga3 0.7008 0.4559 0.4559 1
Ga4 0.8058 0.7129 0.7129 1
Cu1 0.0000 0.2896 0.2896 1
Pd1 0.5000 0.8813 0.8813 1
```

Main lines, sorted by position (2θ from 5° to 70°):
2θ 22.18, I = 17; 2θ 27.02, I = 15; 2θ 35.24, I = 100; 2θ 35.52, I = 16; 2θ 36.33, I = 96; 2θ 38.13, I = 33; 2θ 41.39, I = 42; 2θ 43.64, I = 23; 2θ 44.94, I = 20; 2θ 55.68, I = 18; 2θ 57.51, I = 26; 2θ 62.73, I = 14


Record 5
K2Nd2IrO7: calculated XRD peak list (CuKα), based on a DFT-relaxed cell (PBE, OQMD).

Atomic structure:
```
data_K2Nd2IrO7
_chemical_formula_sum 'K4 Nd4 Ir2 O14'
_cell_length_a 13.0626
_cell_length_b 13.0626
_cell_length_c 13.0626
_cell_angle_alpha 25.10
_cell_angle_beta 25.10
_cell_angle_gamma 25.10
_symmetry_space_group_name_H-M 'P 1'
_symmetry_Int_Tables_number 1
loop_
_symmetry_equiv_pos_as_xyz
'x,y,z'
loop_
_atom_site_label
_atom_site_fract_x
_atom_site_fract_y
_atom_site_fract_z
_atom_site_occupancy
K1 0.0869 0.0869 0.0869 1
K2 0.4131 0.4131 0.4131 1
K3 0.5869 0.5869 0.5869 1
K4 0.9131 0.9131 0.9131 1
Nd1 0.1907 0.1907 0.1907 1
Nd2 0.3093 0.3093 0.3093 1
Nd3 0.6907 0.6907 0.6907 1
Nd4 0.8093 0.8093 0.8093 1
Ir1 0.0000 0.0000 0.0000 1
Ir2 0.5000 0.5000 0.5000 1
O1 0.1105 0.7046 0.2676 1
O2 0.2046 0.6105 0.7676 1
O3 0.2324 0.7954 0.3895 1
O4 0.2500 0.2500 0.2500 1
O5 0.2676 0.1105 0.7046 1
O6 0.2954 0.7324 0.8895 1
O7 0.3895 0.2324 0.7954 1
O8 0.6105 0.7676 0.2046 1
O9 0.7046 0.2676 0.1105 1
O10 0.7324 0.8895 0.2954 1
O11 0.7500 0.7500 0.7500 1
O12 0.7676 0.2046 0.6105 1
O13 0.7954 0.3895 0.2324 1
O14 0.8895 0.2954 0.7324 1
```

Main lines, sorted by position (2θ from 5° to 70°):
2θ 14.01, I = 81; 2θ 20.35, I = 33; 2θ 29.75, I = 80; 2θ 31.52, I = 100; 2θ 34.64, I = 34; 2θ 42.32, I = 25; 2θ 42.84, I = 19; 2θ 43.89, I = 39; 2θ 53.72, I = 17; 2θ 55.03, I = 30; 2θ 56.13, I = 24; 2θ 63.63, I = 16


Record 6
Sc11Ir4: calculated XRD peak list (CuKα), based on a DFT-relaxed cell (PBE, OQMD).

Atomic structure:
```
data_Sc11Ir4
_chemical_formula_sum 'Sc22 Ir8'
_cell_length_a 9.4138
_cell_length_b 9.4138
_cell_length_c 9.4138
_cell_angle_alpha 60.00
_cell_angle_beta 60.00
_cell_angle_gamma 60.00
_symmetry_space_group_name_H-M 'P 1'
_symmetry_Int_Tables_number 1
loop_
_symmetry_equiv_pos_as_xyz
'x,y,z'
loop_
_atom_site_label
_atom_site_fract_x
_atom_site_fract_y
_atom_site_fract_z
_atom_site_occupancy
Sc1 0.1472 0.6176 0.6176 1
Sc2 0.1568 0.1568 0.1568 1
Sc3 0.1568 0.1568 0.5296 1
Sc4 0.1568 0.5296 0.1568 1
Sc5 0.1989 0.1989 0.8011 1
Sc6 0.1989 0.8011 0.1989 1
Sc7 0.1989 0.8011 0.8011 1
Sc8 0.3824 0.3824 0.3824 1
Sc9 0.3824 0.3824 0.8528 1
Sc10 0.3824 0.8528 0.3824 1
Sc11 0.4704 0.8432 0.8432 1
Sc12 0.5296 0.1568 0.1568 1
Sc13 0.6176 0.1472 0.6176 1
Sc14 0.6176 0.6176 0.1472 1
Sc15 0.6176 0.6176 0.6176 1
Sc16 0.8011 0.1989 0.1989 1
Sc17 0.8011 0.1989 0.8011 1
Sc18 0.8011 0.8011 0.1989 1
Sc19 0.8432 0.4704 0.8432 1
Sc20 0.8432 0.8432 0.4704 1
Sc21 0.8432 0.8432 0.8432 1
Sc22 0.8528 0.3824 0.3824 1
Ir1 0.0000 0.0000 0.0000 1
Ir2 0.0000 0.0000 0.5000 1
Ir3 0.0000 0.5000 0.0000 1
Ir4 0.0000 0.5000 0.5000 1
Ir5 0.5000 0.0000 0.0000 1
Ir6 0.5000 0.0000 0.5000 1
Ir7 0.5000 0.5000 0.0000 1
Ir8 0.5000 0.5000 0.5000 1
```

Main lines, sorted by position (2θ from 5° to 70°):
2θ 23.14, I = 82; 2θ 26.79, I = 33; 2θ 35.02, I = 10; 2θ 38.24, I = 100; 2θ 40.66, I = 2; 2θ 45.18, I = 57; 2θ 47.30, I = 10; 2θ 52.82, I = 2; 2θ 55.19, I = 14; 2θ 60.64, I = 22; 2θ 62.39, I = 16; 2θ 69.13, I = 24


> Number 4 is which compound?

Dy2Ga4CuPd